No. 1
The following is a computed PXRD pattern of Na2Tb2I7. It was derived from a cell relaxed with GGA-PBE, using Cu Kα.
Neutral-atom scattering factors, no anomalous dispersion.

Most intense lines, 2θ = 5–70°, by intensity:
11.56°, I = 1000
28.21°, I = 771
26.31°, I = 678
13.05°, I = 581
22.29°, I = 573
26.22°, I = 560
33.52°, I = 385
32.50°, I = 372

Structural model:
Cell: 8.2463 8.2463 7.6613 Å, 92.49 92.49 69.05°
Atoms (fractional coordinates):
Na 0.2108 0.7892 0.0000
Na 0.7892 0.2108 0.0000
Tb 0.2694 0.2694 0.5432
Tb 0.7306 0.7306 0.4568
I 0.0215 0.5879 0.7477
I 0.0802 0.0802 0.7310
I 0.4121 0.9785 0.2523
I 0.5000 0.5000 0.5000
I 0.5879 0.0215 0.7477
I 0.9198 0.9198 0.2690
I 0.9785 0.4121 0.2523

=====

No. 2
The following is a computed PXRD pattern of Na2Te3I. It was derived from a cell relaxed with GGA-PBE, using Cu Kα.
Neutral-atom scattering factors, no anomalous dispersion.

Most intense lines, 2θ = 5–70°, by intensity:
33.35°, I = 1000
24.93°, I = 982
21.79°, I = 975
28.25°, I = 646
17.76°, I = 380
51.61°, I = 276
40.78°, I = 263
35.97°, I = 254

Structural model:
Cell: 7.2949 7.2949 8.8504 Å, 90.00 90.00 112.01°
Atoms (fractional coordinates):
Na 0.0972 0.3731 0.2500
Na 0.3731 0.0972 0.7500
Na 0.6269 0.9028 0.2500
Na 0.9028 0.6269 0.7500
Te 0.2750 0.7250 0.5137
Te 0.2750 0.7250 0.9863
Te 0.4266 0.5734 0.7500
Te 0.5734 0.4266 0.2500
Te 0.7250 0.2750 0.0137
Te 0.7250 0.2750 0.4863
I 0.0727 0.9273 0.2500
I 0.9273 0.0727 0.7500

=====

No. 3
The following is a computed PXRD pattern of Na2TeI6. It was derived from a cell relaxed with GGA-PBE, using Cu Kα.
Neutral-atom scattering factors, no anomalous dispersion.

Most intense lines, 2θ = 5–70°, by intensity:
26.25°, I = 1000
45.98°, I = 521
25.44°, I = 431
25.65°, I = 418
34.95°, I = 346
25.24°, I = 320
26.69°, I = 304
13.25°, I = 260

Structural model:
Cell: 7.7609 8.1705 13.6574 Å, 90.00 121.86 90.00°
Atoms (fractional coordinates):
Na 0.1788 0.0946 0.2095
Na 0.1788 0.4054 0.7095
Na 0.8212 0.5946 0.2905
Na 0.8212 0.9054 0.7905
Te 0.5000 0.0000 0.0000
Te 0.5000 0.5000 0.5000
I 0.1368 0.1975 0.9447
I 0.1368 0.3025 0.4447
I 0.2491 0.6964 0.9282
I 0.2491 0.8036 0.4282
I 0.3999 0.0491 0.7591
I 0.3999 0.4509 0.2591
I 0.6001 0.5491 0.7409
I 0.6001 0.9509 0.2409
I 0.7509 0.1964 0.5718
I 0.7509 0.3036 0.0718
I 0.8632 0.6975 0.5553
I 0.8632 0.8025 0.0553

=====

No. 4
The following is a computed PXRD pattern of NaTi4I7. It was derived from a cell relaxed with GGA-PBE, using Cu Kα.
Neutral-atom scattering factors, no anomalous dispersion.

Most intense lines, 2θ = 5–70°, by intensity:
26.98°, I = 1000
21.05°, I = 562
32.53°, I = 506
10.48°, I = 424
35.45°, I = 424
30.54°, I = 399
8.68°, I = 338
40.73°, I = 317

Structural model:
Cell: 5.0646 20.3797 8.4416 Å, 90.00 90.00 90.00°
Atoms (fractional coordinates):
Na 0.2500 0.2500 0.0007
Na 0.7500 0.7500 0.9993
Ti 0.2500 0.5078 0.0866
Ti 0.2500 0.6045 0.8555
Ti 0.2500 0.8955 0.8555
Ti 0.2500 0.9922 0.0866
Ti 0.7500 0.0078 0.9134
Ti 0.7500 0.1045 0.1445
Ti 0.7500 0.3955 0.1445
Ti 0.7500 0.4922 0.9134
I 0.2500 0.0257 0.7585
I 0.2500 0.1068 0.2914
I 0.2500 0.3932 0.2914
I 0.2500 0.4743 0.7585
I 0.2500 0.6515 0.1604
I 0.2500 0.7500 0.7521
I 0.2500 0.8485 0.1604
I 0.7500 0.1515 0.8396
I 0.7500 0.2500 0.2479
I 0.7500 0.3485 0.8396
I 0.7500 0.5257 0.2415
I 0.7500 0.6068 0.7086
I 0.7500 0.8932 0.7086
I 0.7500 0.9743 0.2415

=====

No. 5
The following is a computed PXRD pattern of Na3Tl4I8. It was derived from a cell relaxed with GGA-PBE, using Cu Kα.
Neutral-atom scattering factors, no anomalous dispersion.

Most intense lines, 2θ = 5–70°, by intensity:
37.81°, I = 1000
26.20°, I = 887
26.42°, I = 869
26.53°, I = 858
37.55°, I = 681
46.39°, I = 371
46.74°, I = 361
11.38°, I = 351

Structural model:
Cell: 9.5224 9.5224 9.5126 Å, 119.55 119.55 90.23°
Atoms (fractional coordinates):
Na 0.0000 0.0000 0.0000
Na 0.0000 0.5000 0.0000
Na 0.5000 0.0000 0.0000
Tl 0.0000 0.0000 0.5000
Tl 0.0000 0.5000 0.5000
Tl 0.5000 0.0000 0.5000
Tl 0.5000 0.5000 0.0000
I 0.2383 0.2383 0.9958
I 0.2415 0.7585 0.0000
I 0.2450 0.2450 0.4814
I 0.2534 0.7466 0.5000
I 0.7466 0.2534 0.5000
I 0.7550 0.7550 0.5186
I 0.7585 0.2415 0.0000
I 0.7617 0.7617 0.0042

=====

No. 6
The following is a computed PXRD pattern of NaTl3I4. It was derived from a cell relaxed with GGA-PBE, using Cu Kα.
Neutral-atom scattering factors, no anomalous dispersion.

Most intense lines, 2θ = 5–70°, by intensity:
25.57°, I = 1000
36.55°, I = 391
36.41°, I = 389
45.02°, I = 211
52.54°, I = 133
65.57°, I = 131
59.44°, I = 123
59.34°, I = 122

Structural model:
Cell: 8.5599 9.8582 8.5054 Å, 90.00 109.57 90.00°
Atoms (fractional coordinates):
Na 0.0000 0.1212 0.2500
Na 0.0000 0.8788 0.7500
Tl 0.0000 0.3735 0.7500
Tl 0.0000 0.6265 0.2500
Tl 0.5000 0.1227 0.7500
Tl 0.5000 0.3736 0.2500
Tl 0.5000 0.6264 0.7500
Tl 0.5000 0.8773 0.2500
I 0.2316 0.1165 0.0032
I 0.2316 0.8835 0.5032
I 0.2408 0.3627 0.4882
I 0.2408 0.6373 0.9882
I 0.7592 0.3627 0.0118
I 0.7592 0.6373 0.5118
I 0.7684 0.1165 0.4968
I 0.7684 0.8835 0.9968

=====

No. 7
The following is a computed PXRD pattern of Na2TmI5. It was derived from a cell relaxed with GGA-PBE, using Cu Kα.
Neutral-atom scattering factors, no anomalous dispersion.

Most intense lines, 2θ = 5–70°, by intensity:
28.76°, I = 1000
41.48°, I = 736
29.24°, I = 664
16.62°, I = 605
32.55°, I = 511
11.30°, I = 391
15.57°, I = 365
20.82°, I = 336

Structural model:
Cell: 8.4077 8.4077 15.2655 Å, 90.00 90.00 137.40°
Atoms (fractional coordinates):
Na 0.1549 0.8451 0.5553
Na 0.1549 0.8451 0.9447
Na 0.8451 0.1549 0.0553
Na 0.8451 0.1549 0.4447
Tm 0.1852 0.8148 0.2500
Tm 0.8148 0.1852 0.7500
I 0.0484 0.9516 0.1197
I 0.0484 0.9516 0.3803
I 0.2867 0.7133 0.7500
I 0.3139 0.6861 0.0998
I 0.3139 0.6861 0.4002
I 0.6861 0.3139 0.5998
I 0.6861 0.3139 0.9002
I 0.7133 0.2867 0.2500
I 0.9516 0.0484 0.6197
I 0.9516 0.0484 0.8803

=====

No. 8
The following is a computed PXRD pattern of Na3ZrI7. It was derived from a cell relaxed with GGA-PBE, using Cu Kα.
Neutral-atom scattering factors, no anomalous dispersion.

Most intense lines, 2θ = 5–70°, by intensity:
27.27°, I = 1000
23.40°, I = 928
11.14°, I = 686
29.40°, I = 476
41.93°, I = 463
25.99°, I = 361
23.82°, I = 298
39.09°, I = 282

Structural model:
Cell: 8.7003 8.7003 7.8591 Å, 104.88 104.88 68.06°
Atoms (fractional coordinates):
Na 0.0000 0.0000 0.0000
Na 0.1395 0.5920 0.4576
Na 0.5920 0.1395 0.4576
Zr 0.3618 0.3618 0.9364
I 0.0319 0.4536 0.7402
I 0.2400 0.2400 0.1866
I 0.2815 0.6926 0.1774
I 0.4536 0.0319 0.7402
I 0.4938 0.4938 0.7296
I 0.6926 0.2815 0.1774
I 0.9525 0.9525 0.5985

=====

No. 9
The following is a computed PXRD pattern of Na2ZrI6. It was derived from a cell relaxed with GGA-PBE, using Cu Kα.
Neutral-atom scattering factors, no anomalous dispersion.

Most intense lines, 2θ = 5–70°, by intensity:
25.88°, I = 1000
26.80°, I = 324
41.47°, I = 302
23.93°, I = 300
34.09°, I = 228
33.36°, I = 224
43.29°, I = 220
13.55°, I = 190

Structural model:
Cell: 7.4381 7.4381 13.6621 Å, 90.00 90.00 90.00°
Atoms (fractional coordinates):
Na 0.0000 0.0000 0.1659
Na 0.0000 0.0000 0.8341
Na 0.5000 0.5000 0.3341
Na 0.5000 0.5000 0.6659
Zr 0.0000 0.0000 0.5000
Zr 0.5000 0.5000 0.0000
I 0.1911 0.1911 0.3490
I 0.1911 0.1911 0.6510
I 0.2243 0.2243 0.0000
I 0.2757 0.7243 0.5000
I 0.3089 0.6911 0.1510
I 0.3089 0.6911 0.8490
I 0.6911 0.3089 0.1510
I 0.6911 0.3089 0.8490
I 0.7243 0.2757 0.5000
I 0.7757 0.7757 0.0000
I 0.8089 0.8089 0.3490
I 0.8089 0.8089 0.6510

=====

No. 10
The following is a computed PXRD pattern of NaZr4I7. It was derived from a cell relaxed with GGA-PBE, using Cu Kα.
Neutral-atom scattering factors, no anomalous dispersion.

Most intense lines, 2θ = 5–70°, by intensity:
7.53°, I = 1000
31.66°, I = 516
31.02°, I = 453
29.88°, I = 406
26.89°, I = 394
30.45°, I = 369
44.09°, I = 258
44.50°, I = 226

Structural model:
Cell: 5.6527 5.9871 23.5124 Å, 87.30 89.99 89.99°
Atoms (fractional coordinates):
Na 0.0000 0.0000 0.0000
Na 0.4993 0.4979 0.5000
Zr 0.2883 0.0545 0.3445
Zr 0.2886 0.9406 0.6558
Zr 0.2918 0.4118 0.2459
Zr 0.2919 0.5833 0.7543
Zr 0.7884 0.4395 0.1556
Zr 0.7880 0.5559 0.8446
Zr 0.7915 0.9131 0.7461
Zr 0.7917 0.0820 0.2542
I 0.2814 0.4644 0.6250
I 0.2805 0.5307 0.3752
I 0.2883 0.0737 0.7728
I 0.2885 0.5490 0.8819
I 0.2885 0.9213 0.2275
I 0.2888 0.4460 0.1184
I 0.3014 0.9977 0.5001
I 0.7803 0.0320 0.8753
I 0.7811 0.9634 0.1249
I 0.7884 0.5723 0.2726
I 0.7887 0.0476 0.3817
I 0.7886 0.4228 0.7276
I 0.7890 0.9474 0.6185
I 0.8012 0.4989 0.0002

=====

No. 11
The following is a computed PXRD pattern of Na2ZrI. It was derived from a cell relaxed with GGA-PBE, using Cu Kα.
Neutral-atom scattering factors, no anomalous dispersion.

Most intense lines, 2θ = 5–70°, by intensity:
27.66°, I = 1000
19.46°, I = 995
33.47°, I = 860
43.95°, I = 788
39.51°, I = 368
60.57°, I = 295
44.41°, I = 243
52.73°, I = 227

Structural model:
Cell: 7.0901 7.0901 7.0901 Å, 99.92 99.92 130.96°
Atoms (fractional coordinates):
Na 0.0960 0.6250 0.9710
Na 0.3750 0.3460 0.4710
Na 0.6540 0.1250 0.0290
Na 0.8750 0.9040 0.5290
Zr 0.2500 0.7500 0.5000
Zr 0.5000 0.5000 0.0000
I 0.0000 0.0000 0.0000
I 0.7500 0.2500 0.5000

=====

No. 12
The following is a computed PXRD pattern of NbI3. It was derived from a cell relaxed with GGA-PBE, using Cu Kα.
Neutral-atom scattering factors, no anomalous dispersion.

Most intense lines, 2θ = 5–70°, by intensity:
26.96°, I = 1000
13.48°, I = 541
35.60°, I = 369
41.22°, I = 293
46.94°, I = 216
26.40°, I = 141
49.94°, I = 133
38.22°, I = 117

Structural model:
Cell: 7.5873 7.5873 6.7527 Å, 90.00 90.00 120.00°
Atoms (fractional coordinates):
Nb 0.0000 0.0000 0.0000
Nb 0.0000 0.0000 0.5000
I 0.0000 0.3010 0.2500
I 0.0000 0.6990 0.7500
I 0.3010 0.0000 0.2500
I 0.3010 0.3010 0.7500
I 0.6990 0.0000 0.7500
I 0.6990 0.6990 0.2500